[1]
Structure and simulated powder X-ray diffraction pattern of Rb2TlGeSe4 (the GGA-PBE geometry in Alexandria; a wavelength of 1.5418 Å).
Peak positions follow from Bragg's law for the DFT cell and can differ from measured ones.

The 8 most intense peaks (10 to 90 degrees two-theta), by angle:
(hkl)  2θ (°)  intensity
0 0 4  14.1  97
0 2 2  14.3  86
1 3 1  23.1  59
0 2 6  24.6  64
2 2 0  28.9  61
1 3 5  28.9  100
2 0 6  33.7  59
2 0 10  44.6  38

Cell and atoms:
Cell: 6.856 14.225 25.211 Å, 90.00 90.00 90.00°
Space group Fddd (No. 70, origin choice 2)
Inequivalent atoms, fractional coordinates:
Rb: 0.125 0.125 0.311
Tl: 0.125 0.125 0.125
Ge: 0.125 0.125 0.625
Se: 0.071 0.273 0.821

[2]
Structure and simulated powder X-ray diffraction pattern of Rb3Sn3Ge2 (the GGA-PBE geometry in Alexandria; a wavelength of 1.5418 Å).
Peak positions follow from Bragg's law for the DFT cell and can differ from measured ones.

The 8 most intense peaks (10 to 90 degrees two-theta), by angle:
(hkl)  2θ (°)  intensity
0 0 1  14.2  53
1 2 1  26.6  100
1 0 -2  27.4  73
1 1 -2  28.1  43
1 4 -1  29.2  45
2 2 -1  30.4  57
0 5 1  33.3  43
3 0 0  44.7  32

Cell and atoms:
Cell: 6.472 14.922 6.612 Å, 90.00 109.89 90.00°
Space group P2_1/m (No. 11)
Inequivalent atoms, fractional coordinates:
Rb: 0.043 0.250 0.450
Rb: 0.353 0.541 0.685
Sn: 0.007 0.099 0.956
Sn: 0.348 0.250 0.057
Ge: 0.399 0.668 0.206

[3]
Structure and simulated powder X-ray diffraction pattern of Rb3Sn4Ge2 (the GGA-PBE geometry in Alexandria; a wavelength of 1.5418 Å).
Peak positions follow from Bragg's law for the DFT cell and can differ from measured ones.

The 8 most intense peaks (10 to 90 degrees two-theta), by angle:
(hkl)  2θ (°)  intensity
2 0 0  12.0  85
2 0 -2  24.1  45
2 0 2  28.4  81
0 4 0  29.3  41
3 3 -1  29.5  100
4 0 -2  30.3  46
5 1 0  31.3  56
1 3 -3  41.3  36

Cell and atoms:
Cell: 14.996 12.196 7.789 Å, 90.00 101.32 90.00°
Space group C2/c (No. 15)
Inequivalent atoms, fractional coordinates:
Rb: 0.000 0.093 0.250
Rb: 0.121 0.388 0.566
Sn: 0.149 0.306 0.084
Sn: 0.179 0.106 0.682
Ge: 0.209 0.095 0.045

[4]
Structure and simulated powder X-ray diffraction pattern of Rb3Sn4Ge2 (the GGA-PBE geometry in Alexandria; a wavelength of 1.5418 Å).
Peak positions follow from Bragg's law for the DFT cell and can differ from measured ones.

The 8 most intense peaks (10 to 90 degrees two-theta), by angle:
(hkl)  2θ (°)  intensity
2 0 0  11.2  100
4 2 -1  26.1  50
3 1 -2  26.8  48
0 0 2  27.2  36
1 3 1  28.3  91
5 1 0  29.2  73
2 0 2  33.4  58
0 4 2  41.4  27

Cell and atoms:
Cell: 17.265 11.694 7.139 Å, 90.00 113.28 90.00°
Space group C2/c (No. 15)
Inequivalent atoms, fractional coordinates:
Rb: 0.000 0.067 0.250
Rb: 0.106 0.384 0.095
Sn: 0.145 0.283 0.638
Sn: 0.201 0.111 0.028
Ge: 0.218 0.123 0.439

[5]
Structure and simulated powder X-ray diffraction pattern of RbSrGe4 (the GGA-PBE geometry in Alexandria; a wavelength of 1.5418 Å).
Peak positions follow from Bragg's law for the DFT cell and can differ from measured ones.

The 8 most intense peaks (10 to 90 degrees two-theta), by angle:
(hkl)  2θ (°)  intensity
2 2 0  29.4  37
3 1 1  34.6  100
2 2 2  36.2  35
4 2 2  52.1  16
3 3 3  55.6  40
4 4 0  61.0  27
6 2 2  73.0  11
7 3 1  87.1  22

Cell and atoms:
Cell: 8.595 8.595 8.595 Å, 90.00 90.00 90.00°
Space group F-43m (No. 216)
Inequivalent atoms, fractional coordinates:
Rb: 0.000 0.000 0.000
Sr: 0.250 0.250 0.250
Ge: 0.112 0.112 0.612

[6]
Structure and simulated powder X-ray diffraction pattern of RbTaGe (the GGA-PBE geometry in Alexandria; a wavelength of 1.5418 Å).
Peak positions follow from Bragg's law for the DFT cell and can differ from measured ones.

The 8 most intense peaks (10 to 90 degrees two-theta), by angle:
(hkl)  2θ (°)  intensity
0 0 1  12.9  100
0 0 2  26.0  84
1 0 -1  27.5  22
0 1 1  27.7  44
1 1 0  34.8  79
1 1 -2  43.7  42
1 1 2  44.2  40
2 0 0  50.0  28

Cell and atoms:
Cell: 3.649 3.649 6.846 Å, 90.00 90.79 90.00°
Space group P2/m (No. 10)
Inequivalent atoms, fractional coordinates:
Rb: 0.000 0.000 0.000
Ta: 0.500 0.500 0.500
Ge: 0.000 0.000 0.500

[7]
Structure and simulated powder X-ray diffraction pattern of Rb2GeTe3 (the GGA-PBE geometry in Alexandria; a wavelength of 1.5418 Å).
Peak positions follow from Bragg's law for the DFT cell and can differ from measured ones.

The 8 most intense peaks (10 to 90 degrees two-theta), by angle:
(hkl)  2θ (°)  intensity
1 1 2  16.2  41
2 0 0  22.8  54
0 4 1  23.2  87
0 2 5  27.8  100
2 2 3  29.8  34
2 4 3  35.9  41
2 2 5  36.3  33
4 2 5  55.2  33

Cell and atoms:
Cell: 7.786 15.672 17.598 Å, 90.00 90.00 90.00°
Space group Cmce (No. 64)
Inequivalent atoms, fractional coordinates:
Rb: 0.000 0.058 0.149
Rb: 0.000 0.146 0.562
Ge: 0.000 0.249 0.333
Te: 0.000 0.088 0.353
Te: 0.000 0.151 0.950
Te: 0.250 0.178 0.750

[8]
Structure and simulated powder X-ray diffraction pattern of Rb3GeTe4 (the GGA-PBE geometry in Alexandria; a wavelength of 1.5418 Å).
Peak positions follow from Bragg's law for the DFT cell and can differ from measured ones.

The 8 most intense peaks (10 to 90 degrees two-theta), by angle:
(hkl)  2θ (°)  intensity
0 3 1  21.4  42
1 3 0  22.2  55
0 0 2  23.7  68
2 1 1  29.8  100
1 3 2  32.7  62
0 6 0  35.9  33
2 2 2  37.9  29
2 7 1  52.1  39

Cell and atoms:
Cell: 6.714 14.987 7.502 Å, 90.00 90.00 90.00°
Space group Imm2 (No. 44)
Inequivalent atoms, fractional coordinates:
Rb: 0.000 0.000 0.000
Rb: 0.000 0.289 0.099
Ge: 0.000 0.500 0.759
Te: 0.000 0.350 0.585
Te: 0.231 0.000 0.512

[9]
Structure and simulated powder X-ray diffraction pattern of RbZn6Ge2 (the GGA-PBE geometry in Alexandria; a wavelength of 1.5418 Å).
Peak positions follow from Bragg's law for the DFT cell and can differ from measured ones.

The 8 most intense peaks (10 to 90 degrees two-theta), by angle:
(hkl)  2θ (°)  intensity
1 0 2  27.6  53
1 1 2  34.1  41
1 0 3  35.3  28
2 0 0  39.9  100
1 1 3  40.7  92
1 1 4  48.7  47
2 2 0  57.6  33
3 1 3  73.0  30

Cell and atoms:
Cell: 4.524 4.524 9.207 Å, 90.00 90.00 90.00°
Space group P4/mmm (No. 123)
Inequivalent atoms, fractional coordinates:
Rb: 0.000 0.000 0.000
Zn: 0.000 0.000 0.500
Zn: 0.000 0.500 0.336
Zn: 0.500 0.500 0.500
Ge: 0.500 0.500 0.200

[10]
Structure and simulated powder X-ray diffraction pattern of Re4Ge7 (the GGA-PBE geometry in Alexandria; a wavelength of 1.5418 Å).
Peak positions follow from Bragg's law for the DFT cell and can differ from measured ones.

The 8 most intense peaks (10 to 90 degrees two-theta), by angle:
(hkl)  2θ (°)  intensity
1 0 4  23.8  49
2 0 0  29.8  24
2 1 3  36.4  21
2 1 4  38.5  100
2 2 0  42.7  35
1 1 8  43.5  56
3 0 4  49.4  42
3 1 8  62.5  19

Cell and atoms:
Cell: 5.994 5.994 19.130 Å, 90.00 90.00 90.00°
Space group P-4c2 (No. 116)
Inequivalent atoms, fractional coordinates:
Re: 0.000 0.000 0.000
Re: 0.000 0.000 0.250
Re: 0.000 0.500 0.064
Re: 0.000 0.500 0.306
Re: 0.500 0.500 0.130
Ge: 0.149 0.204 0.388
Ge: 0.152 0.322 0.682
Ge: 0.236 0.348 0.963
Ge: 0.338 0.338 0.250

[11]
Structure and simulated powder X-ray diffraction pattern of ReGe4Ru (the GGA-PBE geometry in Alexandria; a wavelength of 1.5418 Å).
Peak positions follow from Bragg's law for the DFT cell and can differ from measured ones.

The 8 most intense peaks (10 to 90 degrees two-theta), by angle:
(hkl)  2θ (°)  intensity
0 1 1  19.5  100
1 1 1  25.2  33
1 1 2  33.4  25
2 1 1  37.5  33
0 2 2  39.7  29
1 2 2  42.9  51
1 1 3  44.1  30
2 2 0  44.4  28

Cell and atoms:
Cell: 5.654 5.898 7.119 Å, 90.00 90.00 90.00°
Space group Pnc2 (No. 30)
Inequivalent atoms, fractional coordinates:
Re: 0.000 0.000 0.000
Ge: 0.158 0.231 0.732
Ge: 0.340 0.731 0.603
Ru: 0.500 0.000 0.830

[12]
Structure and simulated powder X-ray diffraction pattern of ScReGe (the GGA-PBE geometry in Alexandria; a wavelength of 1.5418 Å).
Peak positions follow from Bragg's law for the DFT cell and can differ from measured ones.

The 8 most intense peaks (10 to 90 degrees two-theta), by angle:
(hkl)  2θ (°)  intensity
0 0 1  12.7  53
0 1 0  24.3  84
3 1 1  35.7  100
0 0 3  38.7  82
4 0 2  39.7  37
6 0 0  45.5  38
4 1 2  47.1  62
0 2 0  49.8  42

Cell and atoms:
Cell: 11.971 3.659 6.973 Å, 90.00 90.00 90.00°
Space group Pmma (No. 51)
Inequivalent atoms, fractional coordinates:
Sc: 0.056 0.000 0.234
Sc: 0.250 0.000 0.847
Re: 0.102 0.500 0.550
Re: 0.250 0.500 0.197
Ge: 0.097 0.500 0.932
Ge: 0.250 0.000 0.459